Tm4In5Au2: simulated X-ray powder pattern (CuKα), based on the GGA-PBE geometry in Alexandria.

Top 10 peaks for 10° ≤ 2θ ≤ 90°, in order of rising 2θ:
hkl 1 0 0, 11.4°, rel. 47; hkl 1 1 -2, 32.6°, rel. 79; hkl 1 1 2, 33.6°, rel. 100; hkl 2 1 0, 34.0°, rel. 91; hkl 3 0 0, 34.7°, rel. 63; hkl 0 1 3, 37.4°, rel. 52; hkl 2 0 3, 37.6°, rel. 39; hkl 1 0 -4, 38.0°, rel. 89; hkl 0 2 0, 50.8°, rel. 39; hkl 3 2 0, 63.0°, rel. 30

Cell and atoms:
Cell: 7.774 3.592 9.726 Å, 90.00 94.51 90.00°
Space group P2/m (No. 10)
Asymmetric unit:
Tm 0.190 0.000 0.364 [2 per cell]
Tm 0.229 0.000 0.935 [2 per cell]
In 0.164 0.500 0.643 [2 per cell]
In 0.462 0.500 0.177 [2 per cell]
In 0.500 0.500 0.500 [1 per cell]
Au 0.076 0.500 0.139 [2 per cell]